Simulated PXRD pattern of CaCr2O4 for CuKα, from a crystal structure in Alexandria, relaxed with PBE+U.

Largest 12 diffraction maxima, low angle first, 2θ = 10–90°:
d_spacing, I_rel
5.555, 100
3.696, 19
2.778, 20
2.692, 13
2.592, 37
2.349, 58
2.124, 28
1.895, 73
1.507, 23
1.496, 33
1.445, 11
1.317, 11

```
CaCr2O4
1.0
5.9809 0.0000 0.0000
0.0000 11.1110 0.0000
0.0000 0.0000 5.1887
Ca Cr O
4 8 16
direct
0.2500 0.2500 0.0359
0.2500 0.7500 0.3551
0.7500 0.2500 0.6449
0.7500 0.7500 0.9641
0.0000 0.0000 0.5000
0.0000 0.5000 0.5000
0.2500 0.5096 0.9936
0.2500 0.9904 0.9936
0.5000 0.0000 0.5000
0.5000 0.5000 0.5000
0.7500 0.0096 0.0064
0.7500 0.4904 0.0064
0.0036 0.1008 0.8350
0.0036 0.3992 0.8350
0.2500 0.0892 0.3193
0.2500 0.4108 0.3193
0.2500 0.5975 0.6565
0.2500 0.9025 0.6565
0.4964 0.1008 0.8350
0.4964 0.3992 0.8350
0.5036 0.6008 0.1650
0.5036 0.8992 0.1650
0.7500 0.0975 0.3435
0.7500 0.4025 0.3435
0.7500 0.5892 0.6807
0.7500 0.9108 0.6807
0.9964 0.6008 0.1650
0.9964 0.8992 0.1650
```